Hf4Cr2Ir: calculated X-ray diffraction stick pattern (Cu Ka), based on a DFT-relaxed cell (PBE, Alexandria).

Structural model:
Unit cell a=4.967 b=4.967 c=13.218 alpha=90.00 beta=90.00 gamma=90.00
Sites, in units of the cell vectors:
1 Hf 0.000 0.000 0.197
2 Hf 0.000 0.000 0.803
3 Hf 0.000 0.500 0.000
4 Hf 0.000 0.500 0.500
5 Hf 0.500 0.000 0.000
6 Hf 0.500 0.000 0.500
7 Hf 0.500 0.500 0.303
8 Hf 0.500 0.500 0.697
9 Cr 0.000 0.000 0.392
10 Cr 0.000 0.000 0.608
11 Cr 0.500 0.500 0.108
12 Cr 0.500 0.500 0.892
13 Ir 0.000 0.000 0.000
14 Ir 0.500 0.500 0.500

Peak list (10 most intense, 5 to 70 degrees two-theta, by angle)
d_spacing	Rel. int.
6.609	452
4.650	459
3.304	305
3.101	628
2.483	1000
2.334	692
1.985	298
1.756	353
1.701	522
1.648	231

=====

AsPd4: calculated X-ray diffraction stick pattern (Cu Ka), based on a DFT-relaxed cell (PBE, Alexandria).

Structural model:
Unit cell a=5.242 b=5.242 c=5.792 alpha=90.00 beta=90.00 gamma=90.00
Sites, in units of the cell vectors:
1 As 0.000 0.000 0.000
2 As 0.500 0.500 0.500
3 Pd 0.124 0.265 0.345
4 Pd 0.235 0.376 0.845
5 Pd 0.265 0.876 0.655
6 Pd 0.376 0.765 0.155
7 Pd 0.624 0.235 0.155
8 Pd 0.735 0.124 0.655
9 Pd 0.765 0.624 0.845
10 Pd 0.876 0.735 0.345

Peak list (10 most intense, 5 to 70 degrees two-theta, by angle)
d_spacing	Rel. int.
2.535	408
2.388	407
2.344	738
2.282	1000
2.173	987
1.943	166
1.822	314
1.812	239
1.594	213
1.410	184

=====

NaMnZn4: calculated X-ray diffraction stick pattern (Cu Ka), based on a DFT-relaxed cell (PBE, Alexandria).

Structural model:
Unit cell a=5.179 b=5.179 c=5.179 alpha=60.00 beta=60.00 gamma=60.00
Sites, in units of the cell vectors:
1 Na 0.000 0.000 0.000
2 Mn 0.250 0.250 0.250
3 Zn 0.128 0.624 0.624
4 Zn 0.624 0.128 0.624
5 Zn 0.624 0.624 0.128
6 Zn 0.624 0.624 0.624

Peak list (10 most intense, 5 to 70 degrees two-theta, by angle)
d_spacing	Rel. int.
4.229	369
3.662	21
2.589	129
2.208	1000
2.114	599
1.831	146
1.680	81
1.638	11
1.495	41
1.410	287

=====

Zr4Tc2Rh: calculated X-ray diffraction stick pattern (Cu Ka), based on a DFT-relaxed cell (PBE, Alexandria).

Structural model:
Unit cell a=7.988 b=7.988 c=7.988 alpha=33.50 beta=33.50 gamma=33.50
Sites, in units of the cell vectors:
1 Zr 0.121 0.121 0.121
2 Zr 0.372 0.372 0.372
3 Zr 0.628 0.628 0.628
4 Zr 0.879 0.879 0.879
5 Tc 0.249 0.249 0.249
6 Tc 0.751 0.751 0.751
7 Rh 0.500 0.500 0.500

Peak list (10 most intense, 5 to 70 degrees two-theta, by angle)
d_spacing	Rel. int.
7.533	62
3.927	46
3.762	51
3.258	12
2.990	35
2.509	34
2.303	1000
2.202	17
1.964	24
1.629	165

=====

Na16Tl12Ga: calculated X-ray diffraction stick pattern (Cu Ka), based on a DFT-relaxed cell (PBE, Alexandria).

Structural model:
Unit cell a=10.392 b=10.392 c=10.234 alpha=109.53 beta=109.53 gamma=109.83
Sites, in units of the cell vectors:
1 Na 0.000 0.000 0.000
2 Na 0.260 0.569 0.933
3 Na 0.293 0.709 0.649
4 Na 0.330 0.330 0.685
5 Na 0.398 0.671 0.335
6 Na 0.399 0.987 0.038
7 Na 0.569 0.260 0.933
8 Na 0.574 0.574 0.618
9 Na 0.654 0.981 0.343
10 Na 0.671 0.398 0.335
11 Na 0.676 0.986 0.757
12 Na 0.709 0.293 0.649
13 Na 0.981 0.654 0.343
14 Na 0.986 0.676 0.757
15 Na 0.987 0.399 0.038
16 Na 0.992 0.992 0.341
17 Tl 0.169 0.792 0.154
18 Tl 0.180 0.368 0.336
19 Tl 0.181 0.993 0.733
20 Tl 0.368 0.180 0.336
21 Tl 0.369 0.991 0.535
22 Tl 0.591 0.591 0.150
23 Tl 0.600 0.790 0.960
24 Tl 0.790 0.600 0.960
25 Tl 0.792 0.169 0.154
26 Tl 0.803 0.803 0.541
27 Tl 0.991 0.369 0.535
28 Tl 0.993 0.181 0.733
29 Ga 0.299 0.299 0.057

Peak list (10 most intense, 5 to 70 degrees two-theta, by angle)
d_spacing	Rel. int.
4.893	1000
4.853	310
4.826	584
2.817	602
2.791	351
2.558	663
2.526	429
2.516	213
2.344	474
2.333	309

=====

Ti5Se8: calculated X-ray diffraction stick pattern (Cu Ka), based on a DFT-relaxed cell (PBE, Alexandria).

Structural model:
Unit cell a=7.058 b=7.058 c=8.650 alpha=126.68 beta=126.68 gamma=61.39
Sites, in units of the cell vectors:
1 Ti 0.000 0.000 0.000
2 Ti 0.252 0.252 0.014
3 Ti 0.268 0.732 0.500
4 Ti 0.732 0.268 0.500
5 Ti 0.748 0.748 0.986
6 Se 0.041 0.041 0.335
7 Se 0.049 0.539 0.829
8 Se 0.457 0.457 0.670
9 Se 0.461 0.951 0.171
10 Se 0.539 0.049 0.829
11 Se 0.543 0.543 0.330
12 Se 0.951 0.461 0.171
13 Se 0.959 0.959 0.665

Peak list (10 most intense, 5 to 70 degrees two-theta, by angle)
d_spacing	Rel. int.
3.034	202
2.779	823
2.768	1000
2.181	477
2.169	246
2.162	177
1.801	201
1.797	403
1.701	195
1.511	169

=====

LiSiO: calculated X-ray diffraction stick pattern (Cu Ka), based on a DFT-relaxed cell (PBE, Alexandria).

Structural model:
Unit cell a=2.742 b=2.742 c=9.760 alpha=90.00 beta=90.00 gamma=120.00
Sites, in units of the cell vectors:
1 Li 0.000 0.000 0.220
2 Li 0.000 0.000 0.780
3 Si 0.000 0.000 0.500
4 Si 0.333 0.667 0.000
5 O 0.333 0.667 0.375
6 O 0.333 0.667 0.625

Peak list (10 most intense, 5 to 70 degrees two-theta, by angle)
d_spacing	Rel. int.
9.760	1000
4.880	975
2.440	61
2.375	488
2.308	274
2.135	154
1.918	925
1.702	155
1.508	283
1.371	246

=====

La2Ga7Cu12: calculated X-ray diffraction stick pattern (Cu Ka), based on a DFT-relaxed cell (PBE, Alexandria).

Structural model:
Unit cell a=9.646 b=9.646 c=4.090 alpha=90.00 beta=90.00 gamma=120.00
Sites, in units of the cell vectors:
1 La 0.000 0.000 0.000
2 La 0.333 0.667 0.500
3 Ga 0.034 0.557 0.000
4 Ga 0.272 0.017 0.500
5 Ga 0.443 0.477 0.000
6 Ga 0.523 0.966 0.000
7 Ga 0.667 0.333 0.000
8 Ga 0.746 0.728 0.500
9 Ga 0.983 0.254 0.500
10 Cu 0.022 0.739 0.500
11 Cu 0.146 0.372 0.000
12 Cu 0.226 0.854 0.000
13 Cu 0.261 0.283 0.500
14 Cu 0.374 0.184 0.000
15 Cu 0.563 0.412 0.500
16 Cu 0.588 0.151 0.500
17 Cu 0.628 0.774 0.000
18 Cu 0.717 0.978 0.500
19 Cu 0.811 0.626 0.000
20 Cu 0.816 0.189 0.000
21 Cu 0.849 0.437 0.500

Peak list (10 most intense, 5 to 70 degrees two-theta, by angle)
d_spacing	Rel. int.
2.922	215
2.499	1000
2.411	274
2.317	172
2.302	156
2.077	503
2.045	418
2.016	314
1.560	137
1.409	132